Calculated powder diffraction line list of RbMnSeO4 for a wavelength of 1.5418 Å, from a PBE+U-relaxed structure.
Peak positions follow from Bragg's law for the DFT cell and can differ from measured ones.

Atomic structure:
Unit cell a=6.1732 b=6.1732 c=6.1732 alpha=60.00 beta=60.00 gamma=60.00
Sites, in units of the cell vectors:
Rb1 0.0000 0.0000 0.0000
Mn1 0.2500 0.2500 0.2500
Se1 0.5000 0.5000 0.5000
O1 0.3808 0.3808 0.3808
O2 0.3808 0.3808 0.8577
O3 0.3808 0.8577 0.3808
O4 0.8577 0.3808 0.3808

Principal peaks in the range 10 to 90 degrees two-theta, in order of rising 2θ:
d/Å, I/Imax
5.040, 32
4.365, 32
3.087, 100
2.520, 13
1.782, 38
1.543, 18
1.380, 16
1.167, 19